Diffraction record for LaAg2Ge2. The powder XRD pattern is simulated, not measured: it uses the PBE geometry in the Materials Project and Cu Kα.
Lines closer than 0.1° are merged.

Cell: 4.398 4.398 11.059 Å, 90.00 90.00 90.00°
Space group I4/mmm (No. 139)
Symmetry-distinct sites (fractional):
1 La 0.000 0.000 0.000 (multiplicity 2)
2 Ag 0.000 0.500 0.250 (multiplicity 4)
3 Ge 0.000 0.000 0.388 (multiplicity 4)

Main lines, sorted by position (10 to 90 degrees two-theta):
hkl, 2θ (°), intensity
1 0 3, 31.7, 35
1 1 2, 33.0, 100
2 0 0, 41.0, 48
1 1 4, 43.8, 16
1 0 5, 45.9, 20
2 1 3, 52.8, 16
2 2 0, 59.4, 16
3 1 2, 69.7, 22